Computed XRD peak list of Ba2PaTiS6 for λ = 1.5418 Å (Cu Kα), from the PBE geometry in Alexandria.
No peak broadening, texture or thermal motion is included.

Top 6 peaks for 10 to 80 degrees two-theta, low angle first:
- d 4.558, intensity 48
- d 3.613, intensity 57
- d 3.590, intensity 100
- d 2.555, intensity 56
- d 2.081, intensity 46
- d 1.795, intensity 28

Atomic structure:
Unit cell a=5.1091 b=5.1091 c=10.0900 alpha=90.00 beta=90.00 gamma=90.00
Fractional coordinates of all 10 atoms:
Ba: 0.0000 0.0000 0.2146
Ba: 0.0000 0.0000 0.7854
Pa: 0.5000 0.5000 0.5000
Ti: 0.5000 0.5000 0.0000
S: 0.0000 0.5000 0.0000
S: 0.0000 0.5000 0.5000
S: 0.5000 0.0000 0.0000
S: 0.5000 0.0000 0.5000
S: 0.5000 0.5000 0.2433
S: 0.5000 0.5000 0.7567


Computed XRD peak list of Ba2PaVS6 for λ = 1.5418 Å (Cu Kα), from the PBE geometry in Alexandria.
No peak broadening, texture or thermal motion is included.

Top 6 peaks for 10 to 80 degrees two-theta, low angle first:
- d 5.768, intensity 24
- d 3.533, intensity 100
- d 3.013, intensity 21
- d 2.498, intensity 45
- d 2.038, intensity 35
- d 1.768, intensity 14

Atomic structure:
Unit cell a=7.0767 b=7.0575 c=12.2213 alpha=90.00 beta=125.20 gamma=90.00
Fractional coordinates of all 20 atoms:
Ba: 0.2433 0.0267 0.2486
Ba: 0.2433 0.4733 0.7486
Ba: 0.7567 0.5267 0.2514
Ba: 0.7567 0.9733 0.7514
Pa: 0.5000 0.0000 0.0000
Pa: 0.5000 0.5000 0.5000
V: 0.0000 0.0000 0.5000
V: 0.0000 0.5000 0.0000
S: 0.1904 0.2346 0.9747
S: 0.1904 0.2654 0.4747
S: 0.2394 0.7158 0.9749
S: 0.2394 0.7842 0.4749
S: 0.2889 0.0021 0.7403
S: 0.2889 0.4979 0.2403
S: 0.7111 0.5021 0.7597
S: 0.7111 0.9979 0.2597
S: 0.7606 0.2158 0.5251
S: 0.7606 0.2842 0.0251
S: 0.8096 0.7346 0.5253
S: 0.8096 0.7654 0.0253


Computed XRD peak list of BaPa3Se7 for λ = 1.5418 Å (Cu Kα), from the PBE geometry in Alexandria.
No peak broadening, texture or thermal motion is included.

Top 6 peaks for 10 to 80 degrees two-theta, low angle first:
- d 4.389, intensity 54
- d 4.093, intensity 97
- d 3.197, intensity 100
- d 2.756, intensity 100
- d 2.559, intensity 47
- d 2.098, intensity 47

Atomic structure:
Unit cell a=6.8814 b=6.8814 c=7.1479 alpha=101.56 beta=101.56 gamma=96.09
Fractional coordinates of all 11 atoms:
Ba: 0.0000 0.0000 0.0000
Pa: 0.2749 0.7251 0.5000
Pa: 0.5000 0.5000 0.0000
Pa: 0.7251 0.2749 0.5000
Se: 0.0000 0.0000 0.5000
Se: 0.1190 0.5181 0.7656
Se: 0.3490 0.3490 0.2844
Se: 0.4819 0.8810 0.2344
Se: 0.5181 0.1190 0.7656
Se: 0.6510 0.6510 0.7156
Se: 0.8810 0.4819 0.2344


Computed XRD peak list of Ba2Pa3Se9 for λ = 1.5418 Å (Cu Kα), from the PBE geometry in Alexandria.
No peak broadening, texture or thermal motion is included.

Top 6 peaks for 10 to 80 degrees two-theta, low angle first:
- d 5.457, intensity 100
- d 5.275, intensity 88
- d 3.971, intensity 52
- d 3.307, intensity 52
- d 2.727, intensity 89
- d 2.342, intensity 49

Atomic structure:
Unit cell a=10.8412 b=10.8412 c=12.7439 alpha=118.23 beta=118.23 gamma=47.56
Fractional coordinates of all 28 atoms:
Ba: 0.1233 0.1233 0.4898
Ba: 0.6626 0.0609 0.0335
Ba: 0.8767 0.8767 0.5102
Ba: 0.9391 0.3374 0.9665
Pa: 0.2061 0.6435 0.2498
Pa: 0.3381 0.0590 0.2382
Pa: 0.3565 0.7939 0.7502
Pa: 0.4725 0.3265 0.7472
Pa: 0.6735 0.5275 0.2528
Pa: 0.9410 0.6619 0.7618
Se: 0.0170 0.6507 0.0031
Se: 0.0497 0.0919 0.6992
Se: 0.1830 0.6719 0.7367
Se: 0.1925 0.3951 0.2417
Se: 0.2371 0.3186 0.7685
Se: 0.3021 0.6979 0.5000
Se: 0.3281 0.8170 0.2633
Se: 0.3493 0.9830 0.9969
Se: 0.4326 0.1539 0.4952
Se: 0.5598 0.4402 0.0000
Se: 0.5620 0.3808 0.2758
Se: 0.6049 0.8075 0.7583
Se: 0.6192 0.4380 0.7242
Se: 0.6814 0.7629 0.2315
Se: 0.7879 0.0168 0.8030
Se: 0.8461 0.5674 0.5048
Se: 0.9081 0.9503 0.3008
Se: 0.9832 0.2121 0.1970